1.
# La2Zn3Pd5
Calculated X-ray powder pattern, Cu Kα (weighted mean of Kα1 and Kα2). Input: the GGA-PBE geometry in Alexandria.
Neutral-atom scattering factors, no anomalous dispersion.

Main lines, in order of rising 2θ (2θ = 10–90°):
2θ (°), intensity
34.73, 64
34.91, 100
37.63, 51
37.93, 27
38.32, 14
39.32, 18
40.52, 14
41.30, 13
41.95, 51
57.83, 16

Lattice parameters (Å, degrees): 12.792 12.792 6.991 90.00 90.00 160.62
Fractional positions:
La (0.027, 0.973, 0.500)
La (0.324, 0.676, 0.563)
La (0.676, 0.324, 0.063)
La (0.973, 0.027, 0.000)
Zn (0.132, 0.868, 0.714)
Zn (0.284, 0.716, 0.116)
Zn (0.452, 0.548, 0.690)
Zn (0.548, 0.452, 0.190)
Zn (0.716, 0.284, 0.616)
Zn (0.868, 0.132, 0.214)
Pd (0.094, 0.906, 0.080)
Pd (0.196, 0.804, 0.392)
Pd (0.230, 0.770, 0.808)
Pd (0.380, 0.620, 0.967)
Pd (0.443, 0.557, 0.311)
Pd (0.557, 0.443, 0.811)
Pd (0.620, 0.380, 0.467)
Pd (0.770, 0.230, 0.308)
Pd (0.804, 0.196, 0.892)
Pd (0.906, 0.094, 0.580)

2.
# La2Pm
Calculated X-ray powder pattern, Cu Kα (weighted mean of Kα1 and Kα2). Input: the GGA-PBE geometry in Alexandria.
Neutral-atom scattering factors, no anomalous dispersion.

Main lines, in order of rising 2θ (2θ = 10–90°):
2θ (°), intensity
29.50, 100
34.19, 51
49.13, 36
58.31, 29
58.44, 14
61.22, 13
79.62, 6
79.73, 12
82.14, 11
82.32, 5

Lattice parameters (Å, degrees): 8.280 8.280 8.280 154.10 154.10 36.96
Fractional positions:
La (0.166, 0.166, 0.000)
La (0.834, 0.834, 0.000)
Pm (0.500, 0.500, 0.000)

3.
# LaPm4
Calculated X-ray powder pattern, Cu Kα (weighted mean of Kα1 and Kα2). Input: the GGA-PBE geometry in Alexandria.
Neutral-atom scattering factors, no anomalous dispersion.

Main lines, in order of rising 2θ (2θ = 10–90°):
2θ (°), intensity
29.81, 100
34.56, 51
49.68, 36
58.95, 11
59.05, 32
61.91, 9
80.60, 6
80.74, 12
83.24, 8
83.32, 5

Lattice parameters (Å, degrees): 3.674 3.674 15.122 97.03 97.03 59.88
Fractional positions:
La (0.000, 0.000, 0.000)
Pm (0.200, 0.200, 0.599)
Pm (0.400, 0.400, 0.203)
Pm (0.600, 0.600, 0.797)
Pm (0.800, 0.800, 0.401)

4.
# La4Pm3
Calculated X-ray powder pattern, Cu Kα (weighted mean of Kα1 and Kα2). Input: the GGA-PBE geometry in Alexandria.
Neutral-atom scattering factors, no anomalous dispersion.

Main lines, in order of rising 2θ (2θ = 10–90°):
2θ (°), intensity
29.57, 100
29.82, 48
31.60, 41
32.17, 13
35.64, 30
51.49, 14
54.96, 15
60.13, 13
60.25, 13
61.29, 12

Lattice parameters (Å, degrees): 8.874 8.874 9.045 115.96 115.96 23.26
Fractional positions:
La (0.078, 0.078, 0.206)
La (0.361, 0.361, 0.093)
La (0.639, 0.639, 0.907)
La (0.922, 0.922, 0.794)
Pm (0.000, 0.000, 0.500)
Pm (0.222, 0.222, 0.646)
Pm (0.778, 0.778, 0.354)

5.
# La2Pm
Calculated X-ray powder pattern, Cu Kα (weighted mean of Kα1 and Kα2). Input: the GGA-PBE geometry in Alexandria.
Neutral-atom scattering factors, no anomalous dispersion.

Main lines, in order of rising 2θ (2θ = 10–90°):
2θ (°), intensity
27.86, 36
29.50, 49
30.68, 100
32.26, 79
38.44, 19
48.92, 36
52.04, 25
58.17, 43
58.86, 16
82.05, 16

Lattice parameters (Å, degrees): 9.333 9.333 9.333 23.01 23.01 23.01
Fractional positions:
La (0.224, 0.224, 0.224)
La (0.776, 0.776, 0.776)
Pm (0.000, 0.000, 0.000)

6.
# LaPm6
Calculated X-ray powder pattern, Cu Kα (weighted mean of Kα1 and Kα2). Input: the GGA-PBE geometry in Alexandria.
Neutral-atom scattering factors, no anomalous dispersion.

Main lines, in order of rising 2θ (2θ = 10–90°):
2θ (°), intensity
27.82, 100
30.37, 77
30.93, 62
31.73, 32
33.92, 82
35.94, 27
38.05, 28
54.21, 54
59.24, 26
64.04, 28

Lattice parameters (Å, degrees): 6.689 6.689 11.280 90.00 90.00 90.00
Fractional positions:
La (0.250, 0.750, 0.000)
La (0.750, 0.250, 0.000)
Pm (0.082, 0.582, 0.362)
Pm (0.082, 0.918, 0.638)
Pm (0.250, 0.250, 0.139)
Pm (0.250, 0.250, 0.861)
Pm (0.418, 0.582, 0.638)
Pm (0.418, 0.918, 0.362)
Pm (0.582, 0.082, 0.638)
Pm (0.582, 0.418, 0.362)
Pm (0.750, 0.750, 0.139)
Pm (0.750, 0.750, 0.861)
Pm (0.918, 0.082, 0.362)
Pm (0.918, 0.418, 0.638)